Computed X-ray powder pattern of LiCu3Te4Ir for λ = 1.5418 Å (Cu Kα), from DFT lattice parameters and positions (PBE).
Neutral-atom scattering factors, no anomalous dispersion.

Top 8 peaks for 2θ from 10° to 90°, in order of rising 2θ:
| two_theta | I/Imax | h k l |
| --- | --- | --- |
| 14.72 | 55.9 | 1 0 0 |
| 25.63 | 79.4 | 1 1 1 |
| 33.28 | 31.0 | 2 1 0 |
| 42.48 | 100.0 | 2 2 0 |
| 45.19 | 16.8 | 2 2 1 |
| 50.28 | 37.2 | 3 1 1 |
| 61.64 | 16.2 | 4 0 0 |
| 77.73 | 32.6 | 4 2 2 |

```
data_LiCu3Te4Ir
_cell_length_a 6.019
_cell_length_b 6.019
_cell_length_c 6.019
_cell_angle_alpha 90.00
_cell_angle_beta 90.00
_cell_angle_gamma 90.00
_space_group_name_H-M_alt 'P -4 3 m'
_space_group_IT_number 215
_space_group_name_Hall 'P -4 2 3'
loop_
_atom_site_label
_atom_site_fract_x
_atom_site_fract_y
_atom_site_fract_z
Li1 0.000 0.000 0.000
Cu1 0.000 0.500 0.500
Te1 0.251 0.251 0.251
Ir1 0.500 0.500 0.500
```

Computed X-ray powder pattern of MgCuTeIr for λ = 1.5418 Å (Cu Kα), from DFT lattice parameters and positions (PBE).
Neutral-atom scattering factors, no anomalous dispersion.

Top 8 peaks for 2θ from 10° to 90°, in order of rising 2θ:
| two_theta | I/Imax | h k l |
| --- | --- | --- |
| 23.80 | 35.0 | 1 1 1 |
| 27.55 | 9.0 | 2 0 0 |
| 39.35 | 100.0 | 2 2 0 |
| 46.51 | 18.2 | 3 1 1 |
| 56.87 | 16.9 | 4 0 0 |
| 62.52 | 7.8 | 3 3 1 |
| 71.35 | 33.9 | 4 2 2 |
| 84.66 | 10.8 | 4 4 0 |

```
data_MgCuTeIr
_cell_length_a 6.476
_cell_length_b 6.476
_cell_length_c 6.476
_cell_angle_alpha 90.00
_cell_angle_beta 90.00
_cell_angle_gamma 90.00
_space_group_name_H-M_alt 'F -4 3 m'
_space_group_IT_number 216
_space_group_name_Hall 'F -4 2 3'
loop_
_atom_site_label
_atom_site_fract_x
_atom_site_fract_y
_atom_site_fract_z
Mg1 0.000 0.000 0.000
Cu1 0.250 0.250 0.250
Te1 0.000 0.000 0.500
Ir1 0.250 0.250 0.750
```

Computed X-ray powder pattern of Na4CuSi2Ir for λ = 1.5418 Å (Cu Kα), from DFT lattice parameters and positions (PBE).
Neutral-atom scattering factors, no anomalous dispersion.

Top 8 peaks for 2θ from 10° to 90°, in order of rising 2θ:
| two_theta | I/Imax | h k l |
| --- | --- | --- |
| 13.86 | 31.6 | 0 0 1 |
| 19.40 | 25.8 | 1 0 0 |
| 23.92 | 98.4 | 1 0 1 |
| 27.57 | 31.6 | 1 1 0 |
| 39.39 | 52.7 | 2 0 0 |
| 39.65 | 100.0 | 1 1 2 |
| 46.61 | 33.9 | 2 1 1 |
| 71.60 | 32.8 | 3 1 2 |

```
data_Na4CuSi2Ir
_cell_length_a 4.575
_cell_length_b 4.575
_cell_length_c 6.390
_cell_angle_alpha 90.00
_cell_angle_beta 90.00
_cell_angle_gamma 90.00
_space_group_name_H-M_alt 'P -4 m 2'
_space_group_IT_number 115
loop_
_space_group_symop_operation_xyz
'x,y,z'
'y,-x,-z'
'-x,-y,z'
'-y,x,-z'
'-x,y,z'
'-y,-x,-z'
'x,-y,z'
'y,x,-z'
loop_
_atom_site_label
_atom_site_fract_x
_atom_site_fract_y
_atom_site_fract_z
Na1 0.000 0.000 0.000
Na2 0.000 0.500 0.732
Na3 0.500 0.500 0.500
Cu1 0.000 0.000 0.500
Si1 0.000 0.500 0.214
Ir1 0.500 0.500 0.000
```

Computed X-ray powder pattern of TbCuNi3Ir for λ = 1.5418 Å (Cu Kα), from DFT lattice parameters and positions (PBE).
Neutral-atom scattering factors, no anomalous dispersion.

Top 8 peaks for 2θ from 10° to 90°, in order of rising 2θ:
| two_theta | I/Imax | h k l |
| --- | --- | --- |
| 20.49 | 15.8 | 1 0 0 |
| 21.95 | 18.8 | 0 0 1 |
| 30.20 | 22.0 | 1 0 1 |
| 35.88 | 42.5 | 1 1 0 |
| 42.46 | 100.0 | 1 1 1 |
| 44.77 | 23.0 | 0 0 2 |
| 58.65 | 20.8 | 1 1 2 |
| 69.01 | 23.2 | 3 0 1 |

```
data_TbCuNi3Ir
_cell_length_a 5.0055
_cell_length_b 5.0055
_cell_length_c 4.0489
_cell_angle_alpha 90.00
_cell_angle_beta 90.00
_cell_angle_gamma 120.00
_space_group_name_H-M_alt 'P -6 m 2'
_space_group_IT_number 187
_space_group_name_Hall 'P -6 2'
loop_
_atom_site_label
_atom_site_fract_x
_atom_site_fract_y
_atom_site_fract_z
Tb1 0.0000 0.0000 0.0000
Cu1 0.3333 0.6667 0.0000
Ni1 0.0041 0.5020 0.5000
Ir1 0.6667 0.3333 0.0000
```

Computed X-ray powder pattern of Tm3Zn3CuNiIr for λ = 1.5418 Å (Cu Kα), from DFT lattice parameters and positions (PBE).
Neutral-atom scattering factors, no anomalous dispersion.

Top 8 peaks for 2θ from 10° to 90°, in order of rising 2θ:
| two_theta | I/Imax | h k l |
| --- | --- | --- |
| 14.41 | 27.5 | 1 0 0 |
| 34.94 | 100.0 | 1 1 1 |
| 37.98 | 89.0 | 2 0 1 |
| 38.77 | 43.0 | 2 1 0 |
| 44.22 | 27.5 | 3 0 0 |
| 48.96 | 21.5 | 0 0 2 |
| 59.67 | 23.7 | 1 3 1 |
| 71.57 | 23.1 | 2 3 1 |

```
data_Tm3Zn3CuNiIr
_cell_length_a 7.0960
_cell_length_b 7.0960
_cell_length_c 3.7207
_cell_angle_alpha 90.00
_cell_angle_beta 90.00
_cell_angle_gamma 120.00
_space_group_name_H-M_alt 'P -6'
_space_group_IT_number 174
loop_
_space_group_symop_operation_xyz
'x,y,z'
'-x+y,-x,-z'
'-y,x-y,z'
'x,y,-z'
'-x+y,-x,z'
'-y,x-y,-z'
loop_
_atom_site_label
_atom_site_fract_x
_atom_site_fract_y
_atom_site_fract_z
Tm1 0.0005 0.4130 0.0000
Zn1 0.0032 0.7522 0.5000
Cu1 0.0000 0.0000 0.0000
Ni1 0.3333 0.6667 0.5000
Ir1 0.6667 0.3333 0.5000
```

Computed X-ray powder pattern of PrCuIr for λ = 1.5418 Å (Cu Kα), from DFT lattice parameters and positions (PBE).
Neutral-atom scattering factors, no anomalous dispersion.

Top 8 peaks for 2θ from 10° to 90°, in order of rising 2θ:
| two_theta | I/Imax | h k l |
| --- | --- | --- |
| 23.70 | 62.4 | 1 1 1 |
| 39.19 | 100.0 | 2 2 0 |
| 46.31 | 32.2 | 3 1 1 |
| 56.63 | 17.0 | 4 0 0 |
| 62.24 | 13.6 | 3 3 1 |
| 71.03 | 34.3 | 4 2 2 |
| 84.25 | 10.9 | 4 4 0 |
| 89.09 | 10.8 | 5 3 1 |

```
data_PrCuIr
_cell_length_a 6.502
_cell_length_b 6.502
_cell_length_c 6.502
_cell_angle_alpha 90.00
_cell_angle_beta 90.00
_cell_angle_gamma 90.00
_space_group_name_H-M_alt 'F -4 3 m'
_space_group_IT_number 216
_space_group_name_Hall 'F -4 2 3'
loop_
_atom_site_label
_atom_site_fract_x
_atom_site_fract_y
_atom_site_fract_z
Pr1 0.000 0.000 0.000
Cu1 0.000 0.000 0.500
Ir1 0.250 0.250 0.750
```

Computed X-ray powder pattern of RbCu3IrSe4 for λ = 1.5418 Å (Cu Kα), from DFT lattice parameters and positions (PBE).
Neutral-atom scattering factors, no anomalous dispersion.

Top 8 peaks for 2θ from 10° to 90°, in order of rising 2θ:
| two_theta | I/Imax | h k l |
| --- | --- | --- |
| 14.26 | 64.7 | 1 0 0 |
| 20.21 | 51.3 | 1 1 0 |
| 24.82 | 46.3 | 1 1 1 |
| 35.39 | 27.3 | 2 1 1 |
| 41.09 | 100.0 | 2 2 0 |
| 53.16 | 18.3 | 3 2 0 |
| 55.33 | 19.7 | 3 2 1 |
| 74.88 | 26.4 | 4 2 2 |

```
data_RbCu3IrSe4
_cell_length_a 6.213
_cell_length_b 6.213
_cell_length_c 6.213
_cell_angle_alpha 90.00
_cell_angle_beta 90.00
_cell_angle_gamma 90.00
_space_group_name_H-M_alt 'P -4 3 m'
_space_group_IT_number 215
_space_group_name_Hall 'P -4 2 3'
loop_
_atom_site_label
_atom_site_fract_x
_atom_site_fract_y
_atom_site_fract_z
Rb1 0.000 0.000 0.000
Cu1 0.000 0.500 0.500
Ir1 0.500 0.500 0.500
Se1 0.281 0.281 0.281
```

Computed X-ray powder pattern of RbCu3Te4Ir for λ = 1.5418 Å (Cu Kα), from DFT lattice parameters and positions (PBE).
Neutral-atom scattering factors, no anomalous dispersion.

Top 8 peaks for 2θ from 10° to 90°, in order of rising 2θ:
| two_theta | I/Imax | h k l |
| --- | --- | --- |
| 13.44 | 55.0 | 1 0 0 |
| 19.06 | 35.9 | 1 1 0 |
| 23.40 | 69.7 | 1 1 1 |
| 33.32 | 24.3 | 2 1 1 |
| 38.67 | 100.0 | 2 2 0 |
| 45.69 | 26.0 | 3 1 1 |
| 49.93 | 20.4 | 3 2 0 |
| 69.98 | 25.6 | 4 2 2 |

```
data_RbCu3Te4Ir
_cell_length_a 6.586
_cell_length_b 6.586
_cell_length_c 6.586
_cell_angle_alpha 90.00
_cell_angle_beta 90.00
_cell_angle_gamma 90.00
_space_group_name_H-M_alt 'P -4 3 m'
_space_group_IT_number 215
_space_group_name_Hall 'P -4 2 3'
loop_
_atom_site_label
_atom_site_fract_x
_atom_site_fract_y
_atom_site_fract_z
Rb1 0.000 0.000 0.000
Cu1 0.000 0.500 0.500
Te1 0.280 0.280 0.280
Ir1 0.500 0.500 0.500
```

Computed X-ray powder pattern of ScCuSbIr for λ = 1.5418 Å (Cu Kα), from DFT lattice parameters and positions (PBE).
Neutral-atom scattering factors, no anomalous dispersion.

Top 8 peaks for 2θ from 10° to 90°, in order of rising 2θ:
| two_theta | I/Imax | h k l |
| --- | --- | --- |
| 23.77 | 27.0 | 1 1 1 |
| 27.52 | 5.9 | 2 0 0 |
| 39.31 | 100.0 | 2 2 0 |
| 46.45 | 14.4 | 3 1 1 |
| 56.80 | 16.7 | 4 0 0 |
| 62.44 | 6.2 | 3 3 1 |
| 71.26 | 33.4 | 4 2 2 |
| 84.54 | 10.6 | 4 4 0 |

```
data_ScCuSbIr
_cell_length_a 6.483
_cell_length_b 6.483
_cell_length_c 6.483
_cell_angle_alpha 90.00
_cell_angle_beta 90.00
_cell_angle_gamma 90.00
_space_group_name_H-M_alt 'F -4 3 m'
_space_group_IT_number 216
_space_group_name_Hall 'F -4 2 3'
loop_
_atom_site_label
_atom_site_fract_x
_atom_site_fract_y
_atom_site_fract_z
Sc1 0.000 0.000 0.000
Cu1 0.250 0.250 0.250
Sb1 0.000 0.000 0.500
Ir1 0.250 0.250 0.750
```

Computed X-ray powder pattern of ScCuSi2Ir for λ = 1.5418 Å (Cu Kα), from DFT lattice parameters and positions (PBE).
Neutral-atom scattering factors, no anomalous dispersion.

Top 8 peaks for 2θ from 10° to 90°, in order of rising 2θ:
| two_theta | I/Imax | h k l |
| --- | --- | --- |
| 17.78 | 66.4 | 0 0 2 |
| 24.45 | 42.8 | 1 0 1 |
| 35.44 | 23.7 | 1 0 3 |
| 37.18 | 100.0 | 1 1 2 |
| 46.44 | 35.2 | 2 0 0 |
| 49.20 | 33.8 | 1 1 4 |
| 50.11 | 19.1 | 2 0 2 |
| 79.92 | 20.7 | 3 1 2 |

```
data_ScCuSi2Ir
_cell_length_a 3.911
_cell_length_b 3.911
_cell_length_c 9.975
_cell_angle_alpha 90.00
_cell_angle_beta 90.00
_cell_angle_gamma 90.00
_space_group_name_H-M_alt 'I -4 m 2'
_space_group_IT_number 119
_space_group_name_Hall 'I -4 -2'
loop_
_atom_site_label
_atom_site_fract_x
_atom_site_fract_y
_atom_site_fract_z
Sc1 0.000 0.000 0.000
Cu1 0.000 0.500 0.250
Si1 0.000 0.000 0.386
Ir1 0.000 0.500 0.750
```

Computed X-ray powder pattern of Cu3IrSe4 for λ = 1.5418 Å (Cu Kα), from DFT lattice parameters and positions (PBE).
Neutral-atom scattering factors, no anomalous dispersion.

Top 8 peaks for 2θ from 10° to 90°, in order of rising 2θ:
| two_theta | I/Imax | h k l |
| --- | --- | --- |
| 17.89 | 16.0 | 1 0 1 |
| 27.95 | 100.0 | 1 1 2 |
| 46.17 | 24.6 | 2 2 0 |
| 46.60 | 47.9 | 2 0 4 |
| 54.84 | 29.5 | 3 1 2 |
| 55.59 | 15.1 | 1 1 6 |
| 75.07 | 12.1 | 3 1 6 |
| 85.86 | 16.1 | 4 2 4 |

```
data_Cu3IrSe4
_cell_length_a 5.561
_cell_length_b 5.561
_cell_length_c 10.932
_cell_angle_alpha 90.00
_cell_angle_beta 90.00
_cell_angle_gamma 90.00
_space_group_name_H-M_alt 'I -4 2 m'
_space_group_IT_number 121
_space_group_name_Hall 'I -4 2'
loop_
_atom_site_label
_atom_site_fract_x
_atom_site_fract_y
_atom_site_fract_z
Cu1 0.000 0.000 0.000
Cu2 0.000 0.500 0.250
Ir1 0.000 0.000 0.500
Se1 0.248 0.248 0.625
```

Computed X-ray powder pattern of CuIr2Se4 for λ = 1.5418 Å (Cu Kα), from DFT lattice parameters and positions (PBE).
Neutral-atom scattering factors, no anomalous dispersion.

Top 8 peaks for 2θ from 10° to 90°, in order of rising 2θ:
| two_theta | I/Imax | h k l |
| --- | --- | --- |
| 14.70 | 75.1 | 1 0 1 |
| 28.35 | 85.9 | 2 1 1 |
| 34.36 | 95.7 | 2 2 0 |
| 45.07 | 18.6 | 1 0 5 |
| 45.16 | 29.6 | 3 2 1 |
| 49.38 | 100.0 | 4 0 0 |
| 61.54 | 22.4 | 4 0 4 |
| 82.73 | 18.8 | 6 2 0 |

```
data_CuIr2Se4
_cell_length_a 7.376
_cell_length_b 7.376
_cell_length_c 10.456
_cell_angle_alpha 90.00
_cell_angle_beta 90.00
_cell_angle_gamma 90.00
_space_group_name_H-M_alt 'I 41/a m d'
_space_group_IT_number 141
loop_
_space_group_symop_operation_xyz
'x,y,z'
'-x,-y,-z'
'-y+1/4,x+3/4,z+1/4'
'y+1/4,-x+3/4,-z+1/4'
'-x+1/2,-y,z+1/2'
'x+1/2,y,-z+1/2'
'y+1/4,-x+1/4,z+3/4'
'-y+1/4,x+1/4,-z+3/4'
'x,-y,-z'
'-x,y,z'
'-y+1/4,-x+1/4,-z+3/4'
'y+1/4,x+1/4,z+3/4'
'-x+1/2,y,-z+1/2'
'x+1/2,-y,z+1/2'
'y+1/4,x+3/4,-z+1/4'
'-y+1/4,-x+3/4,z+1/4'
'x+1/2,y+1/2,z+1/2'
'-x+1/2,-y+1/2,-z+1/2'
'-y+3/4,x+1/4,z+3/4'
'y+3/4,-x+1/4,-z+3/4'
'-x,-y+1/2,z'
'x,y+1/2,-z'
'y+3/4,-x+3/4,z+1/4'
'-y+3/4,x+3/4,-z+1/4'
'x+1/2,-y+1/2,-z+1/2'
'-x+1/2,y+1/2,z+1/2'
'-y+3/4,-x+3/4,-z+1/4'
'y+3/4,x+3/4,z+1/4'
'-x,y+1/2,-z'
'x,-y+1/2,z'
'y+3/4,x+1/4,-z+3/4'
'-y+3/4,-x+1/4,z+3/4'
loop_
_atom_site_label
_atom_site_fract_x
_atom_site_fract_y
_atom_site_fract_z
Cu1 0.000 0.250 0.375
Ir1 0.000 0.000 0.000
Se1 0.000 0.020 0.761
```